# Gd2Lu5Ga
Calculated powder diffraction line list, Cu Ka. Input: a structure optimized by DFT (GGA-PBE).

Crystal structure
Cell: 5.4201 6.9212 12.0373 Å, 90.00 90.00 90.00°
Space group Amm2 (No. 38)
Inequivalent atoms, fractional coordinates:
Gd1 0.0000 0.0000 0.0000 (multiplicity 2)
Gd2 0.5000 0.0000 0.3438 (multiplicity 2)
Lu1 0.0000 0.0000 0.5073 (multiplicity 2)
Lu2 0.0000 0.2443 0.7576 (multiplicity 4)
Lu3 0.5000 0.2433 0.5892 (multiplicity 4)
Ga1 0.5000 0.0000 0.8361 (multiplicity 2)

Peak list (10 most intense, 2θ = 15–90°, most intense first)
(hkl)  2θ (°)  I/Imax
1 0 4  34.13  100
0 2 2  29.75  24
2 0 0  33.05  24
3 0 4  59.73  20
2 2 2  45.06  16
2 2 6  63.67  15
0 2 6  52.74  13
1 4 4  64.45  11
2 4 0  63.82  7
0 4 0  52.92  7